1.
This entry pairs a crystal structure of Lu3Sn with its simulated powder XRD pattern. Radiation: a wavelength of 1.5418 Å. Structure: a cell relaxed with GGA-PBE.

Top 8 peaks for 2θ = 15–90°, in order of rising 2θ:
- 2θ 30.78, d = 2.905 Å, rel. 23
- 2θ 32.81, d = 2.729 Å, rel. 26
- 2θ 34.99, d = 2.565 Å, rel. 100
- 2θ 45.61, d = 1.989 Å, rel. 16
- 2θ 54.73, d = 1.677 Å, rel. 19
- 2θ 59.99, d = 1.542 Å, rel. 21
- 2θ 65.30, d = 1.429 Å, rel. 22
- 2θ 66.62, d = 1.404 Å, rel. 16

Structural model:
Unit cell a=6.7092 b=6.7092 c=5.4586 alpha=90.00 beta=90.00 gamma=120.00
Space group P6_3/mmc (No. 194)
Symmetry-distinct sites (fractional):
Lu1 0.1692 0.3384 0.2500
Sn1 0.3333 0.6667 0.7500

=====

2.
This entry pairs a crystal structure of Ca2NF with its simulated powder XRD pattern. Radiation: a wavelength of 1.5418 Å. Structure: a cell relaxed with GGA-PBE.

Top 8 peaks for 2θ = 15–90°, in order of rising 2θ:
- 2θ 30.89, d = 2.895 Å, rel. 29
- 2θ 35.76, d = 2.511 Å, rel. 100
- 2θ 39.07, d = 2.305 Å, rel. 8
- 2θ 51.36, d = 1.779 Å, rel. 25
- 2θ 51.59, d = 1.772 Å, rel. 32
- 2θ 61.29, d = 1.513 Å, rel. 10
- 2θ 64.36, d = 1.448 Å, rel. 14
- 2θ 86.90, d = 1.121 Å, rel. 11

Structural model:
Unit cell a=3.5435 b=3.5435 c=17.4646 alpha=90.00 beta=90.00 gamma=120.00
Space group R-3m (No. 166, hexagonal axes)
Symmetry-distinct sites (fractional):
Ca1 0.0000 0.0000 0.2386
N1 0.0000 0.0000 0.5000
F1 0.0000 0.0000 0.0000

=====

3.
This entry pairs a crystal structure of Sr3Rh2O7 with its simulated powder XRD pattern. Radiation: a wavelength of 1.5418 Å. Structure: a cell relaxed with GGA-PBE.

Top 8 peaks for 2θ = 15–90°, in order of rising 2θ:
- 2θ 31.04, d = 2.882 Å, rel. 100
- 2θ 32.31, d = 2.770 Å, rel. 63
- 2θ 42.51, d = 2.126 Å, rel. 18
- 2θ 46.35, d = 1.959 Å, rel. 31
- 2θ 54.39, d = 1.687 Å, rel. 22
- 2θ 56.83, d = 1.620 Å, rel. 42
- 2θ 64.70, d = 1.441 Å, rel. 17
- 2θ 76.96, d = 1.239 Å, rel. 11

Structural model:
Unit cell a=5.5405 b=21.2647 c=5.5408 alpha=90.00 beta=90.00 gamma=90.00
Space group Ccce (No. 68, origin choice 2)
Symmetry-distinct sites (fractional):
Sr1 0.0000 0.0628 0.2500
Sr2 0.0000 0.2500 0.2500
Rh1 0.0000 0.1525 0.7500
O1 0.0000 0.0555 0.7500
O2 0.0000 0.2500 0.7500
O3 0.1912 0.1533 0.0588

=====

4.
This entry pairs a crystal structure of Ba3Nb3N5 with its simulated powder XRD pattern. Radiation: a wavelength of 1.5418 Å. Structure: a cell relaxed with GGA-PBE.

Top 8 peaks for 2θ = 15–90°, in order of rising 2θ:
- 2θ 26.81, d = 3.325 Å, rel. 69
- 2θ 28.52, d = 3.130 Å, rel. 38
- 2θ 29.67, d = 3.011 Å, rel. 95
- 2θ 29.93, d = 2.985 Å, rel. 100
- 2θ 30.36, d = 2.944 Å, rel. 82
- 2θ 31.53, d = 2.838 Å, rel. 90
- 2θ 32.76, d = 2.733 Å, rel. 49
- 2θ 37.09, d = 2.424 Å, rel. 41

Structural model:
Unit cell a=6.0939 b=8.4626 c=9.2975 alpha=111.03 beta=101.02 gamma=102.37
Space group P-1 (No. 2)
Symmetry-distinct sites (fractional):
Ba1 0.1403 0.3235 0.4098
Ba2 0.1990 0.1925 0.7563
Ba3 0.2602 0.9382 0.1061
Nb1 0.1638 0.4983 0.1329
Nb2 0.3932 0.8105 0.4682
Nb3 0.4217 0.6219 0.8039
N1 0.2237 0.2542 0.0736
N2 0.2259 0.5701 0.9515
N3 0.2708 0.0073 0.4364
N4 0.3464 0.7397 0.6504
N5 0.4940 0.5985 0.3192

=====

5.
This entry pairs a crystal structure of BaBiClO2 with its simulated powder XRD pattern. Radiation: a wavelength of 1.5418 Å. Structure: a cell relaxed with GGA-PBE.

Top 8 peaks for 2θ = 15–90°, in order of rising 2θ:
- 2θ 22.64, d = 3.927 Å, rel. 40
- 2θ 29.18, d = 3.060 Å, rel. 100
- 2θ 30.87, d = 2.897 Å, rel. 38
- 2θ 40.66, d = 2.219 Å, rel. 21
- 2θ 44.22, d = 2.048 Å, rel. 20
- 2θ 50.66, d = 1.802 Å, rel. 20
- 2θ 51.41, d = 1.777 Å, rel. 14
- 2θ 53.86, d = 1.702 Å, rel. 36

Structural model:
Unit cell a=4.0965 b=4.0965 c=13.8085 alpha=90.00 beta=90.00 gamma=90.00
Space group I4mm (No. 107)
Symmetry-distinct sites (fractional):
Ba1 0.0000 0.0000 0.0000
Bi1 0.0000 0.0000 0.3106
Cl1 0.0000 0.0000 0.6188
O1 0.0000 0.5000 0.3794

=====

6.
This entry pairs a crystal structure of Mg6VMo with its simulated powder XRD pattern. Radiation: a wavelength of 1.5418 Å. Structure: a cell relaxed with GGA-PBE.

Top 8 peaks for 2θ = 15–90°, in order of rising 2θ:
- 2θ 16.16, d = 5.485 Å, rel. 27
- 2θ 16.91, d = 5.244 Å, rel. 59
- 2θ 34.20, d = 2.622 Å, rel. 42
- 2θ 37.94, d = 2.371 Å, rel. 100
- 2θ 39.28, d = 2.294 Å, rel. 72
- 2θ 48.21, d = 1.888 Å, rel. 15
- 2θ 52.04, d = 1.757 Å, rel. 24
- 2θ 75.22, d = 1.263 Å, rel. 24

Structural model:
Unit cell a=4.7353 b=5.9705 c=10.9704 alpha=90.00 beta=90.00 gamma=90.00
Space group Amm2 (No. 38)
Symmetry-distinct sites (fractional):
Mg1 0.0000 0.0000 0.0000
Mg2 0.0000 0.2396 0.2488
Mg3 0.5000 0.0000 0.8409
Mg4 0.5000 0.2414 0.5934
V1 0.0000 0.0000 0.4756
Mo1 0.5000 0.0000 0.3638